1.
Diffraction record for K2RbCeBr6. The powder diffractogram is theoretical, not measured: it uses a PBE-relaxed structure and CuKα.
Peak positions follow from Bragg's law for the DFT cell and can differ from measured ones.

Main lines, sorted by position (10 to 80 degrees two-theta):
2θ 14.40, intensity 81; 2θ 20.42, intensity 17; 2θ 25.07, intensity 37; 2θ 29.03, intensity 100; 2θ 32.55, intensity 42; 2θ 41.52, intensity 72; 2θ 44.17, intensity 23; 2θ 51.46, intensity 24; 2θ 68.18, intensity 29; 2θ 75.75, intensity 21

Structure:
```
K2RbCeBr6
1.0
0.0000 6.1513 6.1513
6.1513 0.0000 6.1513
6.1513 6.1513 0.0000
K Rb Ce Br
2 1 1 6
Direct
0.2500 0.2500 0.2500 K
0.7500 0.7500 0.7500 K
0.0000 0.0000 0.0000 Rb
0.5000 0.5000 0.5000 Ce
0.2646 0.2646 0.7354 Br
0.2646 0.7354 0.2646 Br
0.2646 0.7354 0.7354 Br
0.7354 0.2646 0.2646 Br
0.7354 0.2646 0.7354 Br
0.7354 0.7354 0.2646 Br
```

2.
Diffraction record for K2NaNdCl6. The powder diffractogram is theoretical, not measured: it uses a PBE-relaxed structure and CuKα.
Peak positions follow from Bragg's law for the DFT cell and can differ from measured ones.

Main lines, sorted by position (10 to 80 degrees two-theta):
2θ 14.05, intensity 68; 2θ 16.23, intensity 67; 2θ 23.03, intensity 71; 2θ 27.08, intensity 43; 2θ 32.80, intensity 100; 2θ 36.81, intensity 34; 2θ 40.46, intensity 33; 2θ 47.07, intensity 66; 2θ 58.56, intensity 22; 2θ 78.31, intensity 27

Structure:
```
K2NaNdCl6
1.0
0.0000 5.4604 5.4604
5.4604 0.0000 5.4604
5.4604 5.4604 0.0000
K Na Nd Cl
2 1 1 6
Direct
0.2500 0.2500 0.2500 K
0.7500 0.7500 0.7500 K
0.0000 0.0000 0.0000 Na
0.5000 0.5000 0.5000 Nd
0.2508 0.2508 0.7492 Cl
0.2508 0.7492 0.2508 Cl
0.2508 0.7492 0.7492 Cl
0.7492 0.2508 0.2508 Cl
0.7492 0.2508 0.7492 Cl
0.7492 0.7492 0.2508 Cl
```

3.
Diffraction record for K2NaMoCl6. The powder diffractogram is theoretical, not measured: it uses a PBE-relaxed structure and CuKα.
Peak positions follow from Bragg's law for the DFT cell and can differ from measured ones.

Main lines, sorted by position (10 to 80 degrees two-theta):
2θ 14.79, intensity 55; 2θ 17.09, intensity 47; 2θ 24.26, intensity 53; 2θ 28.53, intensity 18; 2θ 29.83, intensity 36; 2θ 34.58, intensity 100; 2θ 38.81, intensity 20; 2θ 42.69, intensity 22; 2θ 49.71, intensity 62; 2θ 61.96, intensity 20

Structure:
```
K2NaMoCl6
1.0
0.0000 5.1880 5.1880
5.1880 0.0000 5.1880
5.1880 5.1880 0.0000
K Na Mo Cl
2 1 1 6
Direct
0.2500 0.2500 0.2500 K
0.7500 0.7500 0.7500 K
0.0000 0.0000 0.0000 Na
0.5000 0.5000 0.5000 Mo
0.2633 0.2633 0.7367 Cl
0.2633 0.7367 0.2633 Cl
0.2633 0.7367 0.7367 Cl
0.7367 0.2633 0.2633 Cl
0.7367 0.2633 0.7367 Cl
0.7367 0.7367 0.2633 Cl
```

4.
Diffraction record for Li3PrBi2. The powder diffractogram is theoretical, not measured: it uses a PBE-relaxed structure and CuKα.
Peak positions follow from Bragg's law for the DFT cell and can differ from measured ones.

Main lines, sorted by position (10 to 80 degrees two-theta):
2θ 24.75, intensity 100; 2θ 32.35, intensity 45; 2θ 38.03, intensity 38; 2θ 42.33, intensity 24; 2θ 45.90, intensity 20; 2θ 50.76, intensity 13; 2θ 61.08, intensity 17; 2θ 63.25, intensity 16; 2θ 65.15, intensity 12; 2θ 71.65, intensity 11

Structure:
```
Li3PrBi2
1.0
4.7328 0.0000 0.0000
-2.3664 4.0987 0.0000
0.0000 0.0000 7.5050
Li Pr Bi
3 1 2
Direct
0.0000 0.0000 0.0000 Li
0.3333 0.6667 0.8504 Li
0.6667 0.3333 0.1496 Li
0.0000 0.0000 0.5000 Pr
0.3333 0.6667 0.2445 Bi
0.6667 0.3333 0.7555 Bi
```

5.
Diffraction record for Li2MgGe. The powder diffractogram is theoretical, not measured: it uses a PBE-relaxed structure and CuKα.
Peak positions follow from Bragg's law for the DFT cell and can differ from measured ones.

Main lines, sorted by position (10 to 80 degrees two-theta):
2θ 24.36, intensity 50; 2θ 28.20, intensity 88; 2θ 40.31, intensity 100; 2θ 47.66, intensity 25; 2θ 49.92, intensity 24; 2θ 58.32, intensity 16; 2θ 64.15, intensity 10; 2θ 66.02, intensity 30; 2θ 73.28, intensity 33; 2θ 78.54, intensity 8

Structure:
```
Li2MgGe
1.0
6.3283 0.0000 0.0000
0.0000 6.3283 0.0000
0.0000 0.0000 6.3283
Li Mg Ge
8 4 4
Direct
0.2500 0.2500 0.2500 Li
0.2500 0.2500 0.7500 Li
0.2500 0.7500 0.2500 Li
0.2500 0.7500 0.7500 Li
0.7500 0.2500 0.2500 Li
0.7500 0.2500 0.7500 Li
0.7500 0.7500 0.2500 Li
0.7500 0.7500 0.7500 Li
0.0000 0.0000 0.0000 Mg
0.0000 0.5000 0.5000 Mg
0.5000 0.0000 0.5000 Mg
0.5000 0.5000 0.0000 Mg
0.0000 0.0000 0.5000 Ge
0.0000 0.5000 0.0000 Ge
0.5000 0.0000 0.0000 Ge
0.5000 0.5000 0.5000 Ge
```